[1]
The following is a computed powder diffraction line list of BaPt2. It was derived from a cell relaxed with PBE, using λ = 1.5418 Å (Cu Kα).
Lines closer than 0.1° are merged.

The 10 most intense peaks (5 to 70 degrees two-theta), by intensity:
36.88°, I = 100, hkl 3 1 1; 38.59°, I = 54, hkl 2 2 2; 59.42°, I = 34, hkl 5 1 1; 65.31°, I = 31, hkl 4 4 0; 19.02°, I = 20, hkl 1 1 1; 31.30°, I = 17, hkl 2 2 0; 44.86°, I = 12, hkl 4 0 0; 55.72°, I = 6, hkl 4 2 2; 49.13°, I = 6, hkl 3 3 1; 68.71°, I = 4, hkl 5 3 1

Lattice parameters (Å, degrees): 8.0824 8.0824 8.0824 90.00 90.00 90.00
Space group Fd-3m (No. 227, origin choice 2)
Unique sites:
Ba (0.1250, 0.1250, 0.1250) [8 per cell]
Pt (0.0000, 0.0000, 0.5000) [16 per cell]

***

[2]
The following is a computed powder diffraction line list of BaPt2S3. It was derived from a cell relaxed with PBE, using λ = 1.5418 Å (Cu Kα).
Lines closer than 0.1° are merged.

The 10 most intense peaks (5 to 70 degrees two-theta), by intensity:
29.65°, I = 100, hkl 2 0 2; 25.09°, I = 70, hkl 1 0 3; 14.70°, I = 61, hkl 1 0 1; 29.88°, I = 60, hkl 2 1 1; 47.43°, I = 46, hkl 2 2 4; 62.07°, I = 27, hkl 4 2 2; 36.34°, I = 24, hkl 2 1 3; 51.49°, I = 23, hkl 2 0 6; 38.51°, I = 21, hkl 1 0 5; 55.49°, I = 17, hkl 4 1 1

Lattice parameters (Å, degrees): 6.8894 6.8894 12.4247 90.00 90.00 90.00
Space group P4_12_12 (No. 92)
Unique sites:
Ba (0.1785, 0.1785, 0.0000) [4 per cell]
Pt (0.0071, 0.2496, 0.3751) [8 per cell]
S (0.1637, 0.2566, 0.7451) [8 per cell]
S (0.2432, 0.7568, 0.7500) [4 per cell]